1.
Diffraction record for BaHS. The powder diffraction line list is computed, not measured: it uses a structure optimized by DFT (GGA-PBE) and Cu Kα, 1.54184 Å.

Structural model:
a = 11.124 Å, b = 4.470 Å, c = 7.742 Å
α = 90.00°, β = 134.09°, γ = 90.00°
Space group Cm (No. 8)
One atom of each set of equivalent atoms:
Ba 0.000 0.000 0.000 (multiplicity 2)
Ba 0.000 0.500 0.477 (multiplicity 2)
H 0.046 0.500 0.864 (multiplicity 2)
H 0.450 0.000 0.768 (multiplicity 2)
S 0.247 0.000 0.900 (multiplicity 2)
S 0.253 0.500 0.407 (multiplicity 2)

Largest 6 diffraction maxima, low angle first, 10° ≤ 2θ ≤ 80°:
22.25°, I = 18; 22.97°, I = 70; 32.20°, I = 100; 40.36°, I = 32; 52.54°, I = 23; 68.27°, I = 21

---

2.
Diffraction record for Be2PdAu2. The powder diffraction line list is computed, not measured: it uses a structure optimized by DFT (GGA-PBE) and Cu Kα, 1.54184 Å.

Structural model:
a = 8.317 Å, b = 5.798 Å, c = 5.851 Å
α = 90.00°, β = 90.00°, γ = 90.00°
Space group Pbcm (No. 57)
One atom of each set of equivalent atoms:
Be 0.002 0.003 0.250 (multiplicity 4)
Be 0.335 0.008 0.750 (multiplicity 4)
Pd 0.164 0.250 0.000 (multiplicity 4)
Au 0.170 0.750 0.000 (multiplicity 4)
Au 0.496 0.250 0.000 (multiplicity 4)

Largest 6 diffraction maxima, low angle first, 10° ≤ 2θ ≤ 80°:
30.56°, I = 100; 30.85°, I = 98; 32.29°, I = 86; 43.97°, I = 82; 45.05°, I = 76; 45.26°, I = 75

---

3.
Diffraction record for Tb4PrNd7. The powder diffraction line list is computed, not measured: it uses a structure optimized by DFT (GGA-PBE) and Cu Kα, 1.54184 Å.

Structural model:
a = 6.362 Å, b = 7.349 Å, c = 9.057 Å
α = 90.01°, β = 103.53°, γ = 90.01°
Space group P-1 (No. 2)
One atom of each set of equivalent atoms:
Tb 0.219 0.000 0.165 (multiplicity 2)
Tb 0.278 0.754 0.834 (multiplicity 2)
Pr 0.000 0.500 0.500 (multiplicity 1)
Nd 0.000 0.000 0.500 (multiplicity 1)
Nd 0.223 0.500 0.166 (multiplicity 2)
Nd 0.280 0.248 0.835 (multiplicity 2)
Nd 0.500 0.247 0.499 (multiplicity 2)

Largest 6 diffraction maxima, low angle first, 10° ≤ 2θ ≤ 80°:
28.25°, I = 36; 30.45°, I = 51; 31.20°, I = 100; 32.86°, I = 89; 49.63°, I = 39; 59.35°, I = 46

---

4.
Diffraction record for ThB2Ru2. The powder diffraction line list is computed, not measured: it uses a structure optimized by DFT (GGA-PBE) and Cu Kα, 1.54184 Å.

Structural model:
a = 6.558 Å, b = 9.063 Å, c = 10.119 Å
α = 90.00°, β = 90.00°, γ = 90.00°
Space group Fddd (No. 70, origin choice 2)
One atom of each set of equivalent atoms:
Th 0.125 0.125 0.125 (multiplicity 8)
B 0.125 0.308 0.625 (multiplicity 16)
Ru 0.125 0.125 0.488 (multiplicity 16)

Largest 6 diffraction maxima, low angle first, 10° ≤ 2θ ≤ 80°:
26.40°, I = 32; 31.41°, I = 100; 33.74°, I = 95; 39.78°, I = 31; 42.47°, I = 49; 50.78°, I = 26

---

5.
Diffraction record for K2UCrSe6. The powder diffraction line list is computed, not measured: it uses a structure optimized by DFT (GGA-PBE) and Cu Kα, 1.54184 Å.

Structural model:
a = 7.295 Å, b = 7.313 Å, c = 10.328 Å
α = 90.00°, β = 90.00°, γ = 90.00°
Space group Immm (No. 71)
One atom of each set of equivalent atoms:
K 0.000 0.000 0.250 (multiplicity 4)
U 0.000 0.500 0.000 (multiplicity 2)
Cr 0.000 0.500 0.500 (multiplicity 2)
Se 0.000 0.500 0.258 (multiplicity 4)
Se 0.242 0.258 0.500 (multiplicity 8)

Largest 6 diffraction maxima, low angle first, 10° ≤ 2θ ≤ 80°:
17.17°, I = 100; 24.37°, I = 29; 28.67°, I = 29; 34.74°, I = 97; 39.00°, I = 52; 49.94°, I = 56

---

6.
Diffraction record for Ba6CdPtAu2. The powder diffraction line list is computed, not measured: it uses a structure optimized by DFT (GGA-PBE) and Cu Kα, 1.54184 Å.

Structural model:
a = 8.2841 Å, b = 8.2841 Å, c = 22.9496 Å
α = 90.00°, β = 90.00°, γ = 120.00°
Space group R3 (No. 146, hexagonal axes)
One atom of each set of equivalent atoms:
Ba 0.0108 0.6445 0.0000 (multiplicity 9)
Ba 0.0235 0.3433 0.1581 (multiplicity 9)
Cd 0.0000 0.0000 0.9123 (multiplicity 3)
Pt 0.0000 0.0000 0.4139 (multiplicity 3)
Au 0.0000 0.0000 0.2401 (multiplicity 3)
Au 0.0000 0.0000 0.7545 (multiplicity 3)

Largest 6 diffraction maxima, low angle first, 10° ≤ 2θ ≤ 80°:
14.56°, I = 37; 24.44°, I = 76; 31.85°, I = 100; 37.61°, I = 57; 50.09°, I = 26; 64.29°, I = 24

---

7.
Diffraction record for HoSn2Pd9. The powder diffraction line list is computed, not measured: it uses a structure optimized by DFT (GGA-PBE) and Cu Kα, 1.54184 Å.

Structural model:
a = 4.077 Å, b = 4.077 Å, c = 12.124 Å
α = 90.00°, β = 90.00°, γ = 90.00°
Space group P4/mmm (No. 123)
One atom of each set of equivalent atoms:
Ho 0.000 0.000 0.000 (multiplicity 1)
Sn 0.000 0.000 0.335 (multiplicity 2)
Pd 0.000 0.500 0.172 (multiplicity 4)
Pd 0.000 0.500 0.500 (multiplicity 2)
Pd 0.500 0.500 0.000 (multiplicity 1)
Pd 0.500 0.500 0.337 (multiplicity 2)

Largest 6 diffraction maxima, low angle first, 10° ≤ 2θ ≤ 80°:
38.35°, I = 100; 44.44°, I = 33; 44.86°, I = 16; 64.99°, I = 21; 77.75°, I = 25; 78.35°, I = 12

---

8.
Diffraction record for Ce2Dy2Tm7. The powder diffraction line list is computed, not measured: it uses a structure optimized by DFT (GGA-PBE) and Cu Kα, 1.54184 Å.

Structural model:
a = 9.706 Å, b = 10.958 Å, c = 6.868 Å
α = 90.00°, β = 110.42°, γ = 90.00°
Space group C2/m (No. 12)
One atom of each set of equivalent atoms:
Ce 0.113 0.000 0.437 (multiplicity 4)
Dy 0.000 0.344 0.000 (multiplicity 4)
Tm 0.000 0.500 0.500 (multiplicity 2)
Tm 0.174 0.248 0.691 (multiplicity 8)
Tm 0.185 0.000 0.992 (multiplicity 4)

Largest 6 diffraction maxima, low angle first, 10° ≤ 2θ ≤ 80°:
30.59°, I = 27; 32.24°, I = 100; 32.35°, I = 37; 32.69°, I = 25; 33.79°, I = 26; 38.38°, I = 28